Entry 1:
This entry pairs a crystal structure of Ca3Ni6Ge2 with its theoretical powder XRD pattern. Radiation: Cu Ka. Structure: a crystal structure in Alexandria, relaxed with GGA-PBE.

The 10 most intense peaks (10 to 90 degrees two-theta), sorted by position:
hkl, Position (°2θ), d (Å), I (rel.)
1 1 0, 14.00, 6.325, 37.0
2 0 0, 19.85, 4.473, 19.4
3 2 1, 37.62, 2.391, 31.4
4 0 0, 40.33, 2.236, 18.9
3 3 0, 42.89, 2.108, 100.0
4 2 0, 45.34, 2.000, 32.9
4 2 2, 49.95, 1.826, 19.4
5 3 2, 64.18, 1.451, 13.0
6 2 2, 69.73, 1.349, 18.0
6 3 3, 78.59, 1.217, 24.2

Cell and atoms:
Lattice parameters (Å, degrees): 8.946 8.946 8.946 90.00 90.00 90.00
Space group Im-3m (No. 229)
One atom of each set of equivalent atoms:
Ca1 0.000 0.000 0.293 (multiplicity 12)
Ni1 0.000 0.329 0.329 (multiplicity 24)
Ge1 0.250 0.250 0.250 (multiplicity 8)



Entry 2:
This entry pairs a crystal structure of Mg2CuAu3 with its theoretical powder XRD pattern. Radiation: Cu Ka. Structure: a crystal structure in Alexandria, relaxed with GGA-PBE.

The 10 most intense peaks (10 to 90 degrees two-theta), sorted by position:
hkl, Position (°2θ), d (Å), I (rel.)
0 2 0, 26.60, 3.351, 58.0
1 0 1, 27.98, 3.189, 52.5
1 0 -2, 28.09, 3.177, 52.1
1 2 1, 38.99, 2.310, 100.0
1 2 -2, 39.07, 2.306, 99.3
2 0 -1, 40.06, 2.251, 93.7
2 2 -1, 48.74, 1.868, 46.6
2 4 -1, 70.00, 1.344, 33.5
3 2 0, 72.01, 1.311, 32.1
3 2 -3, 72.17, 1.309, 32.0

Cell and atoms:
Lattice parameters (Å, degrees): 4.503 6.703 7.107 90.00 108.25 90.00
Space group P2/m (No. 10)
One atom of each set of equivalent atoms:
Mg1 0.000 0.000 0.000 (multiplicity 1)
Mg2 0.000 0.500 0.000 (multiplicity 1)
Mg3 0.334 0.000 0.668 (multiplicity 2)
Cu1 0.339 0.500 0.680 (multiplicity 2)
Au1 0.173 0.265 0.344 (multiplicity 4)
Au2 0.500 0.250 0.000 (multiplicity 2)



Entry 3:
This entry pairs a crystal structure of LiAg5I8 with its theoretical powder XRD pattern. Radiation: Cu Ka. Structure: a crystal structure in Alexandria, relaxed with GGA-PBE.

The 10 most intense peaks (10 to 90 degrees two-theta), sorted by position:
hkl, Position (°2θ), d (Å), I (rel.)
1 1 1, 12.44, 7.118, 24.3
3 1 1, 23.94, 3.717, 32.6
2 2 2, 25.02, 3.559, 33.2
4 0 0, 28.97, 3.082, 98.0
5 1 1, 37.92, 2.373, 22.5
4 4 0, 41.43, 2.179, 100.0
4 4 4, 51.35, 1.779, 24.8
8 0 0, 60.04, 1.541, 15.7
8 4 0, 68.02, 1.378, 30.4
8 4 4, 75.57, 1.258, 30.9

Cell and atoms:
Lattice parameters (Å, degrees): 12.328 12.328 12.328 90.00 90.00 90.00
Space group F-43m (No. 216)
One atom of each set of equivalent atoms:
Li1 0.000 0.000 0.000 (multiplicity 4)
Ag1 0.126 0.126 0.626 (multiplicity 16)
Ag2 0.250 0.250 0.250 (multiplicity 4)
I1 0.118 0.118 0.382 (multiplicity 16)
I2 0.130 0.130 0.870 (multiplicity 16)



Entry 4:
This entry pairs a crystal structure of Ba8BiTe4I3 with its theoretical powder XRD pattern. Radiation: Cu Ka. Structure: a crystal structure in Alexandria, relaxed with GGA-PBE.

The 10 most intense peaks (10 to 90 degrees two-theta), sorted by position:
hkl, Position (°2θ), d (Å), I (rel.)
0 2 4, 25.09, 3.550, 100.0
2 2 0, 35.77, 2.510, 78.3
0 0 12, 44.11, 2.053, 6.9
4 0 4, 44.22, 2.048, 21.5
0 4 8, 51.49, 1.775, 13.4
2 4 4, 58.11, 1.587, 37.0
0 2 16, 64.17, 1.451, 6.5
6 0 0, 64.31, 1.448, 20.6
6 2 4, 81.35, 1.183, 14.0
2 6 8, 86.81, 1.122, 6.1

Cell and atoms:
Lattice parameters (Å, degrees): 10.0311 10.0311 24.6391 90.00 90.00 120.00
Space group R-3m (No. 166, hexagonal axes)
One atom of each set of equivalent atoms:
Ba1 0.0000 0.0000 0.2432 (multiplicity 6)
Ba2 0.0110 0.5055 0.7534 (multiplicity 18)
Bi1 0.0000 0.0000 0.0000 (multiplicity 3)
Te1 0.0000 0.0000 0.5000 (multiplicity 3)
Te2 0.0000 0.5000 0.5000 (multiplicity 9)
I1 0.0000 0.5000 0.0000 (multiplicity 9)